Starting from a structure optimized by DFT (GGA-PBE), the XRD peak list of Tb3InTe4 was calculated for Cu Kα (weighted mean of Kα1 and Kα2).
Peak positions follow from Bragg's law for the DFT cell and can differ from measured ones.

Most intense lines, 2θ = 15–90°, in order of falling intensity:
| (hkl) | 2θ (°) | I_rel |
| --- | --- | --- |
| 2 0 0 | 28.58 | 100 |
| 0 2 1 | 20.41 | 83 |
| 0 1 3 | 29.77 | 48 |
| 0 3 2 | 33.33 | 47 |
| 0 3 1 | 28.91 | 45 |
| 2 3 2 | 44.47 | 42 |
| 2 2 1 | 35.38 | 41 |
| 2 1 3 | 41.74 | 38 |
| 2 3 1 | 41.11 | 35 |
| 0 0 2 | 18.77 | 32 |
| 0 0 3 | 28.31 | 28 |
| 2 2 6 | 69.51 | 25 |

Cell and atoms:
```
Tb3InTe4
1.0
6.2458 0.0000 0.0000
0.0000 9.8011 0.0000
0.0000 0.0000 9.4575
Tb In Te
6 2 8
Cartesian
1.5614 0.4806 1.4532
1.5614 2.4503 7.1304
1.5614 4.4199 1.4532
4.6843 5.3812 8.0043
4.6843 7.3508 2.3271
4.6843 9.3205 8.0043
1.5614 7.3508 5.5137
4.6843 2.4503 3.9438
1.5614 2.4503 3.8988
1.5614 5.3552 7.9992
1.5614 7.3508 2.2909
1.5614 9.3465 7.9992
4.6843 0.4546 1.4583
4.6843 2.4503 7.1666
4.6843 4.4460 1.4583
4.6843 7.3508 5.5587
```